(1)
Theoretical XRD peak list
Compound: K2SbAuI6
Radiation: λ = 1.5418 Å (Cu Kα)
Structure: a structure optimized by DFT (PBE)
Neutral-atom scattering factors, no anomalous dispersion.

a b c (Å): 11.972 11.972 11.972
angles (deg): 90.00 90.00 90.00
Space group Fm-3m (No. 225)
Symmetry-distinct sites (fractional):
K 0.250 0.250 0.250 x8
Sb 0.000 0.000 0.000 x4
Au 0.000 0.000 0.500 x4
I 0.000 0.000 0.253 x24

Principal peaks in the range 10 to 80 degrees two-theta, in order of rising 2θ:
2θ 14.80, I = 93, (2 0 0); 2θ 25.78, I = 40, (2 2 2); 2θ 29.85, I = 100, (4 0 0); 2θ 33.47, I = 53, (4 2 0); 2θ 42.72, I = 74, (4 4 0); 2θ 70.33, I = 33, (8 4 0)



(2)
Theoretical XRD peak list
Compound: K2ScAuI6
Radiation: λ = 1.5418 Å (Cu Kα)
Structure: a structure optimized by DFT (PBE)
Neutral-atom scattering factors, no anomalous dispersion.

a b c (Å): 11.813 11.813 11.813
angles (deg): 90.00 90.00 90.00
Space group Fm-3m (No. 225)
Symmetry-distinct sites (fractional):
K 0.250 0.250 0.250 x8
Sc 0.000 0.000 0.000 x4
Au 0.000 0.000 0.500 x4
I 0.000 0.000 0.246 x24

Principal peaks in the range 10 to 80 degrees two-theta, in order of rising 2θ:
2θ 15.00, I = 77, (2 0 0); 2θ 26.13, I = 59, (2 2 2); 2θ 30.26, I = 100, (4 0 0); 2θ 33.94, I = 43, (4 2 0); 2θ 43.33, I = 73, (4 4 0); 2θ 71.43, I = 32, (8 4 0)



(3)
Theoretical XRD peak list
Compound: K2YAuI6
Radiation: λ = 1.5418 Å (Cu Kα)
Structure: a structure optimized by DFT (PBE)
Neutral-atom scattering factors, no anomalous dispersion.

a b c (Å): 12.070 12.070 12.070
angles (deg): 90.00 90.00 90.00
Space group Fm-3m (No. 225)
Symmetry-distinct sites (fractional):
K 0.250 0.250 0.250 x8
Y 0.000 0.000 0.000 x4
Au 0.000 0.000 0.500 x4
I 0.000 0.000 0.251 x24

Principal peaks in the range 10 to 80 degrees two-theta, in order of rising 2θ:
2θ 14.68, I = 86, (2 0 0); 2θ 25.57, I = 47, (2 2 2); 2θ 29.60, I = 100, (4 0 0); 2θ 33.19, I = 49, (4 2 0); 2θ 42.36, I = 74, (4 4 0); 2θ 69.68, I = 33, (8 4 0)



(4)
Theoretical XRD peak list
Compound: Au3I8N3
Radiation: λ = 1.5418 Å (Cu Kα)
Structure: a structure optimized by DFT (PBE)
Neutral-atom scattering factors, no anomalous dispersion.

a b c (Å): 13.476 8.950 19.290
angles (deg): 90.00 105.26 90.00
Space group C2/c (No. 15)
Symmetry-distinct sites (fractional):
Au 0.057 0.248 0.199 x8
Au 0.250 0.250 0.000 x4
I 0.083 0.052 0.363 x8
I 0.095 0.320 0.064 x8
I 0.125 0.454 0.920 x8
I 0.188 0.454 0.266 x8
N 0.000 0.255 0.750 x4
N 0.163 0.263 0.590 x8

Principal peaks in the range 10 to 80 degrees two-theta, in order of rising 2θ:
2θ 13.56, I = 100, (1 1 1); 2θ 23.90, I = 16, (2 2 -1); 2θ 27.32, I = 45, (2 2 2); 2θ 34.31, I = 16, (4 0 -6); 2θ 36.10, I = 15, (3 1 -7); 2θ 45.58, I = 11, (5 3 -1)



(5)
Theoretical XRD peak list
Compound: RbAuI4O12
Radiation: λ = 1.5418 Å (Cu Kα)
Structure: a structure optimized by DFT (PBE)
Neutral-atom scattering factors, no anomalous dispersion.

a b c (Å): 13.921 5.738 8.586
angles (deg): 90.00 109.08 90.00
Space group C2 (No. 5)
Symmetry-distinct sites (fractional):
Rb 0.000 0.000 0.000 x2
Au 0.000 0.188 0.500 x2
I 0.151 0.488 0.345 x4
I 0.180 0.428 0.834 x4
O 0.028 0.556 0.197 x4
O 0.099 0.166 0.730 x4
O 0.118 0.185 0.410 x4
O 0.149 0.648 0.527 x4
O 0.199 0.302 0.037 x4
O 0.203 0.837 0.199 x4

Principal peaks in the range 10 to 80 degrees two-theta, in order of rising 2θ:
2θ 16.86, I = 57, (1 1 0); 2θ 18.87, I = 41, (1 1 -1); 2θ 25.56, I = 96, (3 1 0); 2θ 25.92, I = 100, (1 1 -2); 2θ 28.82, I = 45, (4 0 -2); 2θ 29.40, I = 49, (2 0 2)



(6)
Theoretical XRD peak list
Compound: P10Au7I
Radiation: λ = 1.5418 Å (Cu Kα)
Structure: a structure optimized by DFT (PBE)
Neutral-atom scattering factors, no anomalous dispersion.

a b c (Å): 6.2790 6.2790 11.2672
angles (deg): 90.00 90.00 120.00
Space group P-31m (No. 162)
Symmetry-distinct sites (fractional):
P 0.0000 0.3762 0.1990 x6
P 0.3333 0.6667 0.2918 x4
Au 0.0000 0.0000 0.2245 x2
Au 0.0000 0.5000 0.0000 x3
Au 0.3333 0.6667 0.5000 x2
I 0.0000 0.0000 0.5000 x1

Principal peaks in the range 10 to 80 degrees two-theta, in order of rising 2θ:
2θ 22.73, I = 100, (1 0 2); 2θ 28.43, I = 53, (1 1 0); 2θ 29.54, I = 89, (1 1 1); 2θ 31.77, I = 55, (0 0 4); 2θ 32.94, I = 53, (2 0 0); 2θ 33.92, I = 69, (2 0 1)



(7)
Theoretical XRD peak list
Compound: P10Au7I
Radiation: λ = 1.5418 Å (Cu Kα)
Structure: a structure optimized by DFT (PBE)
Neutral-atom scattering factors, no anomalous dispersion.

a b c (Å): 6.2664 6.2664 11.4006
angles (deg): 90.00 90.00 120.00
Space group P-62m (No. 189)
Symmetry-distinct sites (fractional):
P 0.0000 0.3766 0.2031 x6
P 0.3333 0.6667 0.2939 x4
Au 0.0000 0.0000 0.2308 x2
Au 0.0000 0.4545 0.0000 x3
Au 0.3333 0.6667 0.5000 x2
I 0.0000 0.0000 0.5000 x1

Principal peaks in the range 10 to 80 degrees two-theta, in order of rising 2θ:
2θ 22.62, I = 94, (1 0 2); 2θ 28.49, I = 60, (1 1 0); 2θ 29.57, I = 100, (1 1 1); 2θ 31.39, I = 58, (0 0 4); 2θ 33.96, I = 53, (2 0 1); 2θ 37.19, I = 46, (1 1 3)



(8)
Theoretical XRD peak list
Compound: Rb3Au3I8
Radiation: λ = 1.5418 Å (Cu Kα)
Structure: a structure optimized by DFT (PBE)
Neutral-atom scattering factors, no anomalous dispersion.

a b c (Å): 13.638 8.723 20.732
angles (deg): 90.00 96.79 90.00
Space group C2/c (No. 15)
Symmetry-distinct sites (fractional):
Rb 0.000 0.016 0.250 x4
Rb 0.182 0.495 0.585 x8
Au 0.000 0.000 0.000 x4
Au 0.118 0.498 0.811 x8
I 0.041 0.285 0.877 x8
I 0.067 0.226 0.427 x8
I 0.182 0.030 0.065 x8
I 0.203 0.298 0.245 x8

Principal peaks in the range 10 to 80 degrees two-theta, in order of rising 2θ:
2θ 14.37, I = 69, (1 1 -2); 2θ 22.17, I = 20, (3 1 0); 2θ 28.72, I = 22, (4 0 2); 2θ 28.98, I = 100, (2 2 -4); 2θ 41.44, I = 29, (0 4 0); 2θ 45.18, I = 25, (6 2 -2)



(9)
Theoretical XRD peak list
Compound: Rb2SbAuI6
Radiation: λ = 1.5418 Å (Cu Kα)
Structure: a structure optimized by DFT (PBE)
Neutral-atom scattering factors, no anomalous dispersion.

a b c (Å): 12.014 12.014 12.014
angles (deg): 90.00 90.00 90.00
Space group Fm-3m (No. 225)
Symmetry-distinct sites (fractional):
Rb 0.250 0.250 0.250 x8
Sb 0.000 0.000 0.000 x4
Au 0.000 0.000 0.500 x4
I 0.000 0.000 0.253 x24

Principal peaks in the range 10 to 80 degrees two-theta, in order of rising 2θ:
2θ 14.75, I = 53, (2 0 0); 2θ 25.69, I = 47, (2 2 2); 2θ 29.75, I = 100, (4 0 0); 2θ 33.35, I = 30, (4 2 0); 2θ 42.57, I = 74, (4 4 0); 2θ 70.05, I = 34, (8 4 0)



(10)
Theoretical XRD peak list
Compound: Rb2ScAuI6
Radiation: λ = 1.5418 Å (Cu Kα)
Structure: a structure optimized by DFT (PBE)
Neutral-atom scattering factors, no anomalous dispersion.

a b c (Å): 11.857 11.857 11.857
angles (deg): 90.00 90.00 90.00
Space group Fm-3m (No. 225)
Symmetry-distinct sites (fractional):
Rb 0.250 0.250 0.250 x8
Sc 0.000 0.000 0.000 x4
Au 0.000 0.000 0.500 x4
I 0.000 0.000 0.245 x24

Principal peaks in the range 10 to 80 degrees two-theta, in order of rising 2θ:
2θ 14.94, I = 40, (2 0 0); 2θ 26.03, I = 67, (2 2 2); 2θ 30.15, I = 100, (4 0 0); 2θ 43.16, I = 74, (4 4 0); 2θ 51.10, I = 30, (6 2 2); 2θ 71.12, I = 33, (8 4 0)



(11)
Theoretical XRD peak list
Compound: Rb2TlAuI6
Radiation: λ = 1.5418 Å (Cu Kα)
Structure: a structure optimized by DFT (PBE)
Neutral-atom scattering factors, no anomalous dispersion.

a b c (Å): 12.081 12.081 12.081
angles (deg): 90.00 90.00 90.00
Space group Fm-3m (No. 225)
Symmetry-distinct sites (fractional):
Rb 0.250 0.250 0.250 x8
Tl 0.000 0.000 0.000 x4
Au 0.000 0.000 0.500 x4
I 0.000 0.000 0.260 x24

Principal peaks in the range 10 to 80 degrees two-theta, in order of rising 2θ:
2θ 14.66, I = 68, (2 0 0); 2θ 25.54, I = 31, (2 2 2); 2θ 29.58, I = 100, (4 0 0); 2θ 33.16, I = 37, (4 2 0); 2θ 42.32, I = 74, (4 4 0); 2θ 69.61, I = 33, (8 4 0)



(12)
Theoretical XRD peak list
Compound: Rb2YAuI6
Radiation: λ = 1.5418 Å (Cu Kα)
Structure: a structure optimized by DFT (PBE)
Neutral-atom scattering factors, no anomalous dispersion.

a b c (Å): 12.107 12.107 12.107
angles (deg): 90.00 90.00 90.00
Space group Fm-3m (No. 225)
Symmetry-distinct sites (fractional):
Rb 0.250 0.250 0.250 x8
Y 0.000 0.000 0.000 x4
Au 0.000 0.000 0.500 x4
I 0.000 0.000 0.250 x24

Principal peaks in the range 10 to 80 degrees two-theta, in order of rising 2θ:
2θ 14.63, I = 48, (2 0 0); 2θ 25.49, I = 54, (2 2 2); 2θ 29.51, I = 100, (4 0 0); 2θ 33.09, I = 27, (4 2 0); 2θ 42.23, I = 75, (4 4 0); 2θ 69.44, I = 34, (8 4 0)